# 1
The following is a simulated X-ray powder pattern of Li8GeSe6. It was derived from the GGA-PBE geometry in Alexandria, using Cu Kα X-rays.
Peak positions follow from Bragg's law for the DFT cell and can differ from measured ones.

Atomic structure:
Cell: 7.4481 7.6927 10.8710 Å, 90.00 90.00 90.00°
Space group Pmn2_1 (No. 31)
Inequivalent atoms, fractional coordinates:
Li  0.0000  0.1254  0.0000 [2 per cell]
Li  0.0000  0.2413  0.4408 [2 per cell]
Li  0.2071  0.5795  0.7893 [4 per cell]
Li  0.2086  0.7127  0.1093 [4 per cell]
Li  0.2241  0.9406  0.7742 [4 per cell]
Ge  0.0000  0.7481  0.4661 [2 per cell]
Se  0.0000  0.0018  0.5941 [2 per cell]
Se  0.0000  0.2546  0.2202 [2 per cell]
Se  0.0000  0.4929  0.5961 [2 per cell]
Se  0.0000  0.7789  0.9315 [2 per cell]
Se  0.2377  0.2573  0.8447 [4 per cell]

The 10 most intense peaks (2θ = 15–90°), by angle:
(0 2 0), 2θ 23.12, rel. 27
(1 1 2), 2θ 23.33, rel. 93
(1 0 3), 2θ 27.36, rel. 100
(2 1 1), 2θ 27.85, rel. 69
(0 2 2), 2θ 28.43, rel. 73
(2 0 2), 2θ 29.07, rel. 49
(2 3 1), 2θ 43.66, rel. 24
(3 0 3), 2θ 44.22, rel. 27
(2 2 4), 2θ 47.70, rel. 79
(2 0 6), 2θ 56.46, rel. 25

=====

# 2
The following is a simulated X-ray powder pattern of Nd5ErTl. It was derived from the GGA-PBE geometry in Alexandria, using Cu Kα X-rays.
Peak positions follow from Bragg's law for the DFT cell and can differ from measured ones.

Atomic structure:
Cell: 4.8551 4.8551 10.3995 Å, 90.00 90.00 90.00°
Space group P4/mmm (No. 123)
Inequivalent atoms, fractional coordinates:
Nd  0.0000  0.0000  0.0000 [1 per cell]
Nd  0.0000  0.5000  0.2465 [4 per cell]
Er  0.5000  0.5000  0.5000 [1 per cell]
Tl  0.5000  0.5000  0.0000 [1 per cell]

The 10 most intense peaks (2θ = 15–90°), by angle:
(1 0 0), 2θ 18.27, rel. 7
(1 1 2), 2θ 31.22, rel. 100
(0 0 4), 2θ 34.50, rel. 19
(2 0 0), 2θ 37.03, rel. 32
(2 0 4), 2θ 51.51, rel. 25
(2 2 0), 2θ 53.37, rel. 11
(1 1 6), 2θ 59.77, rel. 16
(3 1 2), 2θ 63.14, rel. 27
(2 2 4), 2θ 65.12, rel. 12
(3 1 6), 2θ 84.26, rel. 13

=====

# 3
The following is a simulated X-ray powder pattern of Sr3Sb2Pd. It was derived from the GGA-PBE geometry in Alexandria, using Cu Kα X-rays.
Peak positions follow from Bragg's law for the DFT cell and can differ from measured ones.

Atomic structure:
Cell: 12.9203 4.7682 12.6805 Å, 90.00 90.00 90.00°
Space group Pnma (No. 62)
Inequivalent atoms, fractional coordinates:
Sr  0.0545  0.2500  0.1239 [4 per cell]
Sr  0.1164  0.7500  0.5512 [4 per cell]
Sr  0.2223  0.2500  0.8028 [4 per cell]
Sb  0.0165  0.7500  0.3092 [4 per cell]
Sb  0.1968  0.7500  0.9943 [4 per cell]
Pd  0.1247  0.2500  0.3663 [4 per cell]

The 10 most intense peaks (2θ = 15–90°), by angle:
(2 1 2), 2θ 27.17, rel. 49
(0 1 3), 2θ 28.21, rel. 84
(1 0 4), 2θ 29.04, rel. 43
(3 1 2), 2θ 31.36, rel. 100
(4 1 1), 2θ 34.27, rel. 70
(4 1 2), 2θ 36.46, rel. 29
(2 1 4), 2θ 36.78, rel. 55
(0 2 0), 2θ 37.73, rel. 74
(3 0 5), 2θ 41.31, rel. 32
(1 1 7), 2θ 54.69, rel. 34